The following is a computed X-ray diffraction stick pattern of VAg3F6. It was derived from a cell relaxed with GGA+U, using λ = 1.5418 Å (Cu Kα).

Top 10 peaks for 2θ from 10° to 80°, by angle:
Position (°2θ)  I (rel.)
27.5  70
29.1  100
31.9  36
34.6  20
43.7  24
47.8  52
53.3  33
56.1  19
60.3  11
77.4  15

Cell and atoms:
```
VAg3F6
1.0
0.000 4.145 5.189
3.804 0.000 5.189
3.804 4.145 0.000
V Ag F
1 3 6
Cartesian
0.000 0.000 0.000 V
1.902 2.073 2.595 Ag
3.804 4.145 5.189 Ag
5.707 6.218 7.784 Ag
6.224 4.145 3.806 F
3.804 1.993 5.189 F
6.224 4.145 6.573 F
1.385 4.145 3.806 F
3.804 6.298 5.189 F
1.385 4.145 6.573 F
```